# Ba8ZnIrAu2
Simulated XRD peak list, Cu Ka. Input: a structure optimized by DFT (GGA-PBE).
Lines closer than 0.1° are merged.

Structure:
a b c (Å): 7.625 9.769 7.852
angles (deg): 90.00 90.23 90.00
Sites, in units of the cell vectors:
Ba 0.219 0.228 0.172
Ba 0.219 0.772 0.172
Ba 0.260 0.000 0.691
Ba 0.277 0.500 0.671
Ba 0.723 0.500 0.329
Ba 0.740 0.000 0.309
Ba 0.781 0.228 0.828
Ba 0.781 0.772 0.828
Zn 0.000 0.500 0.000
Ir 0.000 0.000 0.000
Au 0.500 0.246 0.500
Au 0.500 0.754 0.500

Main lines, low angle first (2θ = 15–90°):
(1 0 1), 2θ 16.21, intensity 80; (1 2 -1), 2θ 24.42, intensity 100; (1 0 2), 2θ 25.54, intensity 37; (1 2 2), 2θ 31.50, intensity 34; (2 2 1), 2θ 31.89, intensity 71; (0 2 3), 2θ 39.05, intensity 47